(1)
Calculated PXRD pattern
Compound: Mg16Al12I
Radiation: Cu Ka
Structure: DFT lattice parameters and positions (PBE)

The 10 most intense peaks (5 to 70 degrees two-theta), sorted by position:
d [Å], Position (°2θ), I (rel.)
7.520, 11.77, 31.9
4.342, 20.46, 13.6
3.363, 26.50, 9.0
2.842, 31.48, 20.7
2.507, 35.82, 100.0
2.267, 39.75, 23.5
2.171, 41.60, 15.7
2.086, 43.39, 9.8
1.504, 61.67, 16.7
1.447, 64.37, 25.4

Crystal structure
a b c (Å): 9.2101 9.2101 9.2101
angles (deg): 109.47 109.47 109.47
Fractional coordinates of all 29 atoms:
Mg1 0.0000 0.0000 0.6632
Mg2 0.0000 0.4055 0.6871
Mg3 0.0000 0.6632 0.0000
Mg4 0.0000 0.6871 0.4055
Mg5 0.2815 0.5945 0.5945
Mg6 0.3129 0.3129 0.7185
Mg7 0.3129 0.7185 0.3129
Mg8 0.3368 0.3368 0.3368
Mg9 0.4055 0.0000 0.6871
Mg10 0.4055 0.6871 0.0000
Mg11 0.5945 0.2815 0.5945
Mg12 0.5945 0.5945 0.2815
Mg13 0.6632 0.0000 0.0000
Mg14 0.6871 0.0000 0.4055
Mg15 0.6871 0.4055 0.0000
Mg16 0.7185 0.3129 0.3129
Al1 0.0000 0.1886 0.3772
Al2 0.0000 0.3772 0.1886
Al3 0.1886 0.0000 0.3772
Al4 0.1886 0.3772 0.0000
Al5 0.1885 0.8114 0.8114
Al6 0.3772 0.0000 0.1886
Al7 0.3772 0.1886 0.0000
Al8 0.6228 0.6228 0.8115
Al9 0.6228 0.8115 0.6228
Al10 0.8114 0.1885 0.8114
Al11 0.8115 0.6228 0.6228
Al12 0.8114 0.8114 0.1885
I1 0.0000 0.0000 0.0000

(2)
Calculated PXRD pattern
Compound: NpSi2Ni2
Radiation: Cu Ka
Structure: DFT lattice parameters and positions (PBE)

The 10 most intense peaks (5 to 70 degrees two-theta), sorted by position:
d [Å], Position (°2θ), I (rel.)
3.644, 24.43, 78.1
2.509, 35.79, 61.8
2.446, 36.75, 18.3
2.415, 37.24, 100.0
1.963, 46.24, 35.9
1.751, 52.23, 21.8
1.728, 52.98, 21.0
1.546, 59.81, 28.6
1.531, 60.47, 17.2
1.406, 66.50, 17.6

Crystal structure
a b c (Å): 3.9268 3.9268 9.7830
angles (deg): 90.00 90.00 90.00
Fractional coordinates of all 10 atoms:
Np1 0.0000 0.0000 0.0000
Np2 0.5000 0.5000 0.5000
Si1 0.0000 0.0000 0.3765
Si2 0.0000 0.0000 0.6235
Si3 0.5000 0.5000 0.1235
Si4 0.5000 0.5000 0.8765
Ni1 0.0000 0.5000 0.2500
Ni2 0.0000 0.5000 0.7500
Ni3 0.5000 0.0000 0.2500
Ni4 0.5000 0.0000 0.7500